Diffraction record for NaTcAgO4. The PXRD pattern is calculated, not measured: it uses a PBE-relaxed structure and CuKα.
Neutral-atom scattering factors, no anomalous dispersion.

Cell and atoms:
a b c (Å): 6.4403 6.2356 6.5557
angles (deg): 90.00 91.12 90.00
Sites, in units of the cell vectors:
Na (0.1425, 0.2500, 0.4126)
Na (0.8575, 0.7500, 0.5874)
Tc (0.3365, 0.7500, 0.6335)
Tc (0.6635, 0.2500, 0.3664)
Ag (0.3407, 0.2500, 0.8852)
Ag (0.6593, 0.7500, 0.1148)
O (0.1752, 0.5191, 0.6809)
O (0.1752, 0.9809, 0.6809)
O (0.4076, 0.7500, 0.3752)
O (0.4307, 0.2500, 0.2076)
O (0.5693, 0.7500, 0.7924)
O (0.5924, 0.2500, 0.6248)
O (0.8248, 0.0191, 0.3191)
O (0.8248, 0.4809, 0.3191)

Most intense lines, 2θ = 5–70°, by angle:
2θ 13.75, I = 99.0, (1 0 0)
2θ 19.13, I = 89.5, (1 0 -1)
2θ 19.51, I = 40.8, (1 0 1)
2θ 23.91, I = 59.0, (1 1 -1)
2θ 24.22, I = 69.2, (1 1 1)
2θ 28.63, I = 77.8, (0 2 0)
2θ 30.82, I = 100.0, (0 1 2)
2θ 31.89, I = 41.4, (1 2 0)
2θ 33.97, I = 48.0, (2 1 -1)
2θ 34.42, I = 49.5, (2 1 1)